Y2TaNbSi2: theoretical powder diffraction line list (Cu Kα (λ = 1.5418 Å)), based on a structure optimized by DFT (GGA-PBE).
Neutral-atom scattering factors, no anomalous dispersion.

Most intense lines, 2θ from 5° to 70°, low angle first:
| d/Å | Rel. int. |
| --- | --- |
| 7.778 | 63 |
| 3.889 | 12 |
| 3.559 | 21 |
| 2.789 | 32 |
| 2.659 | 100 |
| 2.593 | 30 |
| 2.288 | 65 |
| 2.001 | 39 |
| 1.626 | 12 |
| 1.603 | 21 |
| 1.584 | 27 |
| 1.415 | 13 |

Structural model:
Unit cell a=4.0019 b=4.0019 c=7.7782 alpha=90.00 beta=90.00 gamma=90.00
Fractional coordinates of all 6 atoms:
Y (0.0000, 0.5000, 0.1473)
Y (0.5000, 0.0000, 0.8527)
Ta (0.5000, 0.5000, 0.5000)
Nb (0.0000, 0.0000, 0.5000)
Si (0.0000, 0.5000, 0.7399)
Si (0.5000, 0.0000, 0.2601)